Diffraction record for Rb2PbO2. The X-ray diffraction stick pattern is theoretical, not measured: it uses a GGA-PBE-relaxed structure and λ = 1.5418 Å (Cu Kα).
Lines closer than 0.1° are merged.

Largest 8 diffraction maxima, in order of falling intensity, 2θ = 15–90°:
- 2θ = 27.3°, rel. 100.0
- 2θ = 27.6°, rel. 89.5
- 2θ = 29.8°, rel. 85.1
- 2θ = 26.8°, rel. 78.5
- 2θ = 27.8°, rel. 78.4
- 2θ = 33.1°, rel. 77.5
- 2θ = 32.2°, rel. 69.2
- 2θ = 16.2°, rel. 45.6

Crystal structure
a = 7.744 Å, b = 8.000 Å, c = 10.648 Å
α = 85.19°, β = 70.30°, γ = 61.32°
Element x y z (fractional)
Rb (0.064, 0.451, 0.170)
Rb (0.076, 0.933, 0.176)
Rb (0.239, 0.269, 0.493)
Rb (0.398, 0.568, 0.858)
Rb (0.602, 0.432, 0.142)
Rb (0.761, 0.731, 0.507)
Rb (0.924, 0.067, 0.824)
Rb (0.936, 0.549, 0.830)
Pb (0.306, 0.703, 0.474)
Pb (0.402, 0.059, 0.875)
Pb (0.598, 0.941, 0.125)
Pb (0.694, 0.297, 0.526)
O (0.071, 0.213, 0.978)
O (0.195, 0.598, 0.355)
O (0.342, 0.484, 0.626)
O (0.496, 0.807, 0.005)
O (0.504, 0.193, 0.995)
O (0.658, 0.516, 0.374)
O (0.805, 0.402, 0.645)
O (0.929, 0.787, 0.022)

=====

Diffraction record for Zr4Si3Sb5. The X-ray diffraction stick pattern is theoretical, not measured: it uses a GGA-PBE-relaxed structure and λ = 1.5418 Å (Cu Kα).
Lines closer than 0.1° are merged.

Largest 8 diffraction maxima, in order of falling intensity, 2θ = 15–90°:
- 2θ = 38.8°, rel. 100.0
- 2θ = 34.5°, rel. 73.4
- 2θ = 31.0°, rel. 70.8
- 2θ = 32.9°, rel. 53.4
- 2θ = 47.2°, rel. 51.0
- 2θ = 62.7°, rel. 47.2
- 2θ = 39.0°, rel. 37.7
- 2θ = 57.6°, rel. 23.7

Crystal structure
a = 3.850 Å, b = 3.850 Å, c = 17.436 Å
α = 90.00°, β = 90.00°, γ = 90.00°
Element x y z (fractional)
Zr (0.000, 0.500, 0.121)
Zr (0.000, 0.500, 0.628)
Zr (0.500, 0.000, 0.372)
Zr (0.500, 0.000, 0.879)
Si (0.000, 0.000, 0.000)
Si (0.000, 0.000, 0.500)
Si (0.500, 0.500, 0.000)
Sb (0.000, 0.500, 0.300)
Sb (0.000, 0.500, 0.810)
Sb (0.500, 0.000, 0.190)
Sb (0.500, 0.000, 0.700)
Sb (0.500, 0.500, 0.500)

=====

Diffraction record for BaSrZr4O12. The X-ray diffraction stick pattern is theoretical, not measured: it uses a GGA-PBE-relaxed structure and λ = 1.5418 Å (Cu Kα).
Lines closer than 0.1° are merged.

Largest 8 diffraction maxima, in order of falling intensity, 2θ = 15–90°:
- 2θ = 30.1°, rel. 100.0
- 2θ = 18.3°, rel. 40.6
- 2θ = 53.5°, rel. 27.4
- 2θ = 43.1°, rel. 26.2
- 2θ = 35.5°, rel. 15.2
- 2θ = 21.2°, rel. 15.1
- 2θ = 62.4°, rel. 14.9
- 2θ = 53.3°, rel. 13.6

Crystal structure
a = 8.388 Å, b = 5.950 Å, c = 5.950 Å
α = 89.71°, β = 90.00°, γ = 90.00°
Element x y z (fractional)
Ba (0.000, 0.000, 0.000)
Sr (0.500, 0.472, 0.472)
Zr (0.253, 0.494, 0.980)
Zr (0.253, 0.980, 0.494)
Zr (0.747, 0.494, 0.980)
Zr (0.747, 0.980, 0.494)
O (0.000, 0.504, 0.978)
O (0.000, 0.978, 0.504)
O (0.243, 0.249, 0.249)
O (0.248, 0.221, 0.754)
O (0.248, 0.754, 0.221)
O (0.287, 0.709, 0.709)
O (0.500, 0.033, 0.473)
O (0.500, 0.473, 0.033)
O (0.713, 0.709, 0.709)
O (0.752, 0.221, 0.754)
O (0.752, 0.754, 0.221)
O (0.757, 0.249, 0.249)

=====

Diffraction record for Zn2B2PbO6. The X-ray diffraction stick pattern is theoretical, not measured: it uses a GGA-PBE-relaxed structure and λ = 1.5418 Å (Cu Kα).
Lines closer than 0.1° are merged.

Largest 8 diffraction maxima, in order of falling intensity, 2θ = 15–90°:
- 2θ = 28.8°, rel. 100.0
- 2θ = 22.6°, rel. 69.6
- 2θ = 19.2°, rel. 65.5
- 2θ = 29.2°, rel. 55.3
- 2θ = 25.5°, rel. 43.8
- 2θ = 49.8°, rel. 32.4
- 2θ = 16.5°, rel. 31.4
- 2θ = 28.6°, rel. 31.1

Crystal structure
a = 5.034 Å, b = 11.523 Å, c = 10.741 Å
α = 90.00°, β = 90.00°, γ = 90.00°
Element x y z (fractional)
Zn (0.181, 0.001, 0.150)
Zn (0.181, 0.499, 0.650)
Zn (0.319, 0.001, 0.650)
Zn (0.319, 0.499, 0.150)
Zn (0.681, 0.501, 0.850)
Zn (0.681, 0.999, 0.350)
Zn (0.819, 0.501, 0.350)
Zn (0.819, 0.999, 0.850)
B (0.194, 0.102, 0.416)
B (0.194, 0.398, 0.916)
B (0.306, 0.102, 0.916)
B (0.306, 0.398, 0.416)
B (0.694, 0.602, 0.584)
B (0.694, 0.898, 0.084)
B (0.806, 0.602, 0.084)
B (0.806, 0.898, 0.584)
Pb (0.250, 0.750, 0.441)
Pb (0.250, 0.750, 0.941)
Pb (0.750, 0.250, 0.059)
Pb (0.750, 0.250, 0.559)
O (0.078, 0.625, 0.089)
O (0.078, 0.875, 0.589)
O (0.160, 0.123, 0.023)
O (0.160, 0.377, 0.523)
O (0.182, 0.053, 0.813)
O (0.182, 0.447, 0.313)
O (0.318, 0.053, 0.313)
O (0.318, 0.447, 0.813)
O (0.340, 0.123, 0.523)
O (0.340, 0.377, 0.023)
O (0.422, 0.625, 0.589)
O (0.422, 0.875, 0.089)
O (0.578, 0.125, 0.911)
O (0.578, 0.375, 0.411)
O (0.660, 0.623, 0.977)
O (0.660, 0.877, 0.477)
O (0.682, 0.553, 0.187)
O (0.682, 0.947, 0.687)
O (0.818, 0.553, 0.687)
O (0.818, 0.947, 0.187)
O (0.840, 0.623, 0.477)
O (0.840, 0.877, 0.977)
O (0.922, 0.125, 0.411)
O (0.922, 0.375, 0.911)

=====

Diffraction record for Ca2SiO4. The X-ray diffraction stick pattern is theoretical, not measured: it uses a GGA-PBE-relaxed structure and λ = 1.5418 Å (Cu Kα).
Lines closer than 0.1° are merged.

Largest 8 diffraction maxima, in order of falling intensity, 2θ = 15–90°:
- 2θ = 31.8°, rel. 100.0
- 2θ = 32.1°, rel. 55.0
- 2θ = 45.8°, rel. 49.0
- 2θ = 39.3°, rel. 21.3
- 2θ = 66.5°, rel. 21.1
- 2θ = 56.8°, rel. 17.5
- 2θ = 56.7°, rel. 16.4
- 2θ = 67.1°, rel. 14.4

Crystal structure
a = 5.625 Å, b = 5.625 Å, c = 6.808 Å
α = 90.00°, β = 90.00°, γ = 120.00°
Element x y z (fractional)
Ca (0.000, 0.000, 0.000)
Ca (0.000, 0.000, 0.500)
Ca (0.333, 0.667, 0.156)
Ca (0.667, 0.333, 0.844)
Si (0.333, 0.667, 0.698)
Si (0.667, 0.333, 0.302)
O (0.177, 0.354, 0.792)
O (0.177, 0.823, 0.792)
O (0.333, 0.667, 0.462)
O (0.354, 0.177, 0.208)
O (0.646, 0.823, 0.792)
O (0.667, 0.333, 0.538)
O (0.823, 0.177, 0.208)
O (0.823, 0.646, 0.208)

=====

Diffraction record for Li2Mg. The X-ray diffraction stick pattern is theoretical, not measured: it uses a GGA-PBE-relaxed structure and λ = 1.5418 Å (Cu Kα).
Lines closer than 0.1° are merged.

Largest 8 diffraction maxima, in order of falling intensity, 2θ = 15–90°:
- 2θ = 38.0°, rel. 100.0
- 2θ = 34.3°, rel. 58.6
- 2θ = 38.6°, rel. 51.7
- 2θ = 35.7°, rel. 41.1
- 2θ = 33.4°, rel. 26.5
- 2θ = 22.5°, rel. 24.8
- 2θ = 28.7°, rel. 24.3
- 2θ = 37.5°, rel. 19.9

Crystal structure
a = 3.112 Å, b = 15.814 Å, c = 5.037 Å
α = 90.00°, β = 90.00°, γ = 90.00°
Element x y z (fractional)
Li (0.000, 0.055, 0.250)
Li (0.000, 0.391, 0.250)
Li (0.000, 0.609, 0.750)
Li (0.000, 0.945, 0.750)
Li (0.500, 0.109, 0.750)
Li (0.500, 0.445, 0.750)
Li (0.500, 0.555, 0.250)
Li (0.500, 0.891, 0.250)
Mg (0.000, 0.280, 0.750)
Mg (0.000, 0.720, 0.250)
Mg (0.500, 0.220, 0.250)
Mg (0.500, 0.780, 0.750)

=====

Diffraction record for KIO3. The X-ray diffraction stick pattern is theoretical, not measured: it uses a GGA-PBE-relaxed structure and λ = 1.5418 Å (Cu Kα).
Lines closer than 0.1° are merged.

Largest 8 diffraction maxima, in order of falling intensity, 2θ = 15–90°:
- 2θ = 27.6°, rel. 100.0
- 2θ = 19.6°, rel. 92.7
- 2θ = 28.0°, rel. 82.7
- 2θ = 39.8°, rel. 52.8
- 2θ = 49.3°, rel. 33.1
- 2θ = 64.8°, rel. 19.7
- 2θ = 49.6°, rel. 19.3
- 2θ = 48.7°, rel. 18.6

Crystal structure
a = 6.455 Å, b = 6.455 Å, c = 6.455 Å
α = 59.12°, β = 59.12°, γ = 59.12°
Element x y z (fractional)
K (0.000, 0.000, 0.000)
K (0.500, 0.500, 0.500)
I (0.255, 0.255, 0.255)
I (0.755, 0.755, 0.755)
O (0.009, 0.520, 0.895)
O (0.020, 0.509, 0.395)
O (0.395, 0.020, 0.509)
O (0.509, 0.395, 0.020)
O (0.520, 0.895, 0.009)
O (0.895, 0.009, 0.520)